Calculated powder diffractogram of Li11V6O5F19 for copper Kα, from the GGA+U geometry in the Materials Project.

Largest 8 diffraction maxima, most intense first, 2θ = 10–80°:
d [Å]	2theta	I/Imax
5.353	16.56	100
3.515	25.34	67
3.565	24.98	41
3.542	25.14	25
2.579	34.79	25
1.859	48.99	21
2.719	32.94	19
1.853	49.16	15

Atomic structure:
```
Li11V6O5F19
1.0
5.163 0.000 0.000
-0.066 5.439 0.000
-0.114 -2.633 16.060
Li V O F
11 6 5 19
direct
0.000 0.000 0.000
0.000 0.301 0.677
0.488 0.140 0.324
0.491 0.498 0.003
0.492 0.996 0.125
0.501 0.261 0.785
0.503 0.611 0.452
0.967 0.799 0.786
0.976 0.137 0.454
0.990 0.441 0.118
0.991 0.688 0.337
0.012 0.713 0.561
0.476 0.242 0.560
0.486 0.923 0.899
0.495 0.562 0.230
0.988 0.360 0.897
0.994 0.061 0.230
0.171 0.063 0.862
0.181 0.405 0.525
0.302 0.245 0.205
0.681 0.215 0.938
0.693 0.872 0.259
0.093 0.748 0.677
0.131 0.048 0.347
0.141 0.377 0.014
0.176 0.730 0.186
0.315 0.563 0.865
0.319 0.896 0.520
0.351 0.585 0.346
0.353 0.878 0.015
0.357 0.244 0.674
0.623 0.241 0.444
0.629 0.921 0.785
0.633 0.541 0.114
0.678 0.557 0.591
0.808 0.389 0.277
0.808 0.711 0.933
0.821 0.070 0.587
0.853 0.407 0.781
0.857 0.745 0.449
0.858 0.077 0.114
```

=====

Calculated powder diffractogram of Al2FeO4 for copper Kα, from the GGA+U geometry in the Materials Project.

Largest 8 diffraction maxima, most intense first, 2θ = 10–80°:
d [Å]	2theta	I/Imax
2.451	36.67	100
2.493	36.03	84
1.454	64.03	74
2.047	44.26	66
4.789	18.53	56
2.067	43.80	33
2.938	30.43	23
1.585	58.22	21

Atomic structure:
```
Al2FeO4
1.0
-2.853 2.938 4.133
2.853 -2.938 4.133
2.853 2.938 -4.133
Al Fe O
4 2 8
direct
0.000 0.000 0.000
0.385 0.635 0.750
0.500 0.000 0.500
0.615 0.365 0.250
0.000 0.000 0.500
0.000 0.500 0.000
0.240 0.232 0.008
0.258 0.243 0.485
0.258 0.772 0.015
0.276 0.768 0.508
0.724 0.232 0.492
0.742 0.228 0.985
0.742 0.757 0.515
0.760 0.768 0.992
```

=====

Calculated powder diffractogram of Fe3Co7O20 for copper Kα, from the GGA+U geometry in the Materials Project.

Largest 8 diffraction maxima, most intense first, 2θ = 10–80°:
d [Å]	2theta	I/Imax
4.734	18.74	100
2.047	44.24	31
2.466	36.43	23
1.448	64.35	15
2.040	44.41	15
2.456	36.58	11
1.577	58.52	11
1.877	48.50	9

Atomic structure:
```
Fe3Co7O20
1.0
5.790 0.000 0.000
0.000 2.895 0.000
-2.780 0.000 20.399
Fe Co O
3 7 20
direct
0.000 0.000 0.000
0.401 0.000 0.799
0.599 0.000 0.201
0.000 0.500 0.500
0.199 0.000 0.401
0.200 0.500 0.899
0.395 0.500 0.302
0.605 0.500 0.698
0.800 0.500 0.101
0.801 0.000 0.599
0.010 0.000 0.097
0.010 0.500 0.592
0.178 0.500 0.808
0.186 0.000 0.308
0.209 0.000 0.493
0.223 0.500 0.991
0.376 0.500 0.209
0.394 0.000 0.703
0.408 0.500 0.394
0.411 0.000 0.896
0.589 0.000 0.104
0.592 0.500 0.606
0.606 0.000 0.297
0.624 0.500 0.791
0.777 0.500 0.009
0.791 0.000 0.507
0.814 0.000 0.692
0.822 0.500 0.192
0.990 0.000 0.903
0.990 0.500 0.408
```

=====

Calculated powder diffractogram of MnCo5B2O10 for copper Kα, from the GGA+U geometry in the Materials Project.

Largest 8 diffraction maxima, most intense first, 2θ = 10–80°:
d [Å]	2theta	I/Imax
2.599	34.51	100
2.557	35.09	73
5.198	17.06	50
1.932	47.04	37
1.524	60.78	32
2.386	37.70	30
2.058	43.99	28
1.595	57.82	25

Atomic structure:
```
MnCo5B2O10
1.0
3.060 0.000 0.000
0.000 9.313 0.000
0.000 0.000 12.527
Mn Co B O
2 10 4 20
direct
0.000 0.007 0.000
0.000 0.993 0.500
0.000 0.255 0.384
0.000 0.493 0.772
0.000 0.507 0.272
0.000 0.745 0.884
0.500 0.248 0.166
0.500 0.252 0.884
0.500 0.256 0.608
0.500 0.744 0.108
0.500 0.748 0.384
0.500 0.752 0.666
0.000 0.027 0.746
0.000 0.474 0.025
0.000 0.526 0.525
0.000 0.973 0.246
0.000 0.103 0.842
0.000 0.104 0.652
0.000 0.122 0.245
0.000 0.376 0.525
0.000 0.399 0.929
0.000 0.400 0.121
0.000 0.600 0.621
0.000 0.601 0.429
0.000 0.624 0.025
0.000 0.878 0.745
0.000 0.896 0.152
0.000 0.897 0.342
0.500 0.132 0.465
0.500 0.137 0.029
0.500 0.363 0.307
0.500 0.365 0.743
0.500 0.635 0.243
0.500 0.637 0.807
0.500 0.863 0.529
0.500 0.868 0.965
```

=====

Calculated powder diffractogram of MgCr4W2O12 for copper Kα, from the GGA+U geometry in the Materials Project.

Largest 8 diffraction maxima, most intense first, 2θ = 10–80°:
d [Å]	2theta	I/Imax
2.646	33.88	100
4.295	20.68	99
3.288	27.12	78
3.535	25.19	74
1.817	50.21	45
1.746	52.39	43
4.749	18.68	33
1.432	65.16	26

Atomic structure:
```
MgCr4W2O12
1.0
4.824 0.000 0.000
0.000 9.499 0.000
-0.349 0.000 4.819
Mg Cr W O
1 4 2 12
direct
0.000 0.000 0.000
0.237 0.190 0.768
0.237 0.810 0.768
0.697 0.340 0.308
0.697 0.660 0.308
0.191 0.500 0.813
0.652 0.000 0.351
0.000 0.000 0.605
0.004 0.338 0.610
0.004 0.662 0.610
0.394 0.337 0.000
0.394 0.663 0.000
0.397 0.000 0.004
0.490 0.500 0.514
0.501 0.172 0.503
0.501 0.828 0.503
0.855 0.162 0.149
0.855 0.838 0.149
0.905 0.500 0.100
```

=====

Calculated powder diffractogram of EuTlW2O8 for copper Kα, from the GGA+U geometry in the Materials Project.

Largest 8 diffraction maxima, most intense first, 2θ = 10–80°:
d [Å]	2theta	I/Imax
3.328	26.79	100
3.100	28.80	75
2.896	30.87	34
2.717	32.97	33
3.217	27.73	20
1.982	45.77	16
1.675	54.79	15
2.728	32.83	15

Atomic structure:
```
EuTlW2O8
1.0
5.488 -5.438 0.000
5.488 5.438 0.000
-4.855 0.000 5.793
Eu Tl W O
2 2 4 16
direct
0.225 0.775 0.750
0.775 0.225 0.250
0.203 0.797 0.250
0.797 0.203 0.750
0.302 0.311 0.776
0.311 0.302 0.276
0.689 0.698 0.724
0.698 0.689 0.224
0.051 0.212 0.190
0.070 0.381 0.631
0.212 0.051 0.690
0.244 0.380 0.057
0.372 0.584 0.529
0.380 0.244 0.557
0.381 0.070 0.131
0.416 0.628 0.971
0.584 0.372 0.029
0.619 0.930 0.869
0.620 0.756 0.443
0.628 0.416 0.471
0.756 0.620 0.943
0.788 0.949 0.310
0.930 0.619 0.369
0.949 0.788 0.810
```

=====

Calculated powder diffractogram of MgV4P4O20 for copper Kα, from the GGA+U geometry in the Materials Project.

Largest 8 diffraction maxima, most intense first, 2θ = 10–80°:
d [Å]	2theta	I/Imax
3.318	26.87	100
4.793	18.51	93
3.177	28.09	74
3.309	26.94	54
3.359	26.54	53
3.211	27.78	51
4.612	19.24	43
4.041	21.99	30

Atomic structure:
```
MgV4P4O20
1.0
5.210 0.000 0.000
2.574 7.005 0.000
0.267 3.809 9.579
Mg V P O
1 4 4 20
direct
0.000 0.000 0.000
0.378 0.303 0.969
0.378 0.792 0.718
0.482 0.808 0.241
0.957 0.307 0.455
0.099 0.585 0.160
0.732 0.085 0.743
0.809 0.085 0.258
0.997 0.564 0.662
0.038 0.941 0.801
0.064 0.440 0.568
0.074 0.427 0.816
0.103 0.929 0.284
0.133 0.461 0.066
0.147 0.438 0.314
0.150 0.721 0.623
0.205 0.082 0.532
0.301 0.704 0.123
0.319 0.078 0.041
0.455 0.587 0.863
0.545 0.958 0.763
0.596 0.985 0.312
0.624 0.585 0.375
0.663 0.199 0.847
0.683 0.698 0.631
0.704 0.233 0.592
0.735 0.199 0.094
0.788 0.245 0.325
0.812 0.763 0.124
```